This entry pairs a crystal structure of PmTh2Pt4 with its calculated XRD peak list. Radiation: λ = 1.5418 Å (Cu Kα). Structure: the GGA-PBE geometry in Alexandria.

Most intense lines, 10 to 90 degrees two-theta, low angle first:
2θ/deg  Rel. int.
25.07  17
32.44  100
32.65  47
38.64  84
38.78  45
46.57  16
51.34  18
66.00  23

Structure:
Cell lengths 7.542, 7.542, 7.542 Å; angles 109.27, 109.27, 109.87 degrees
Element x y z (fractional)
Pm (0.000, 0.000, 0.000)
Pm (0.750, 0.250, 0.500)
Th (0.246, 0.125, 0.621)
Th (0.375, 0.754, 0.879)
Th (0.504, 0.625, 0.379)
Th (0.875, 0.496, 0.121)
Pt (0.129, 0.383, 0.419)
Pt (0.133, 0.379, 0.919)
Pt (0.291, 0.871, 0.254)
Pt (0.459, 0.214, 0.081)
Pt (0.617, 0.036, 0.746)
Pt (0.621, 0.541, 0.754)
Pt (0.786, 0.867, 0.246)
Pt (0.964, 0.709, 0.581)